Starting from a DFT-relaxed cell (PBE, Alexandria), the powder diffraction line list of Ho3Tm8Sc3 was simulated for copper Kα.

Structure:
```
data_Ho3Tm8Sc3
_cell_length_a 5.4516
_cell_length_b 10.3673
_cell_length_c 14.6016
_cell_angle_alpha 90.00
_cell_angle_beta 90.00
_cell_angle_gamma 90.00
_space_group_name_H-M_alt 'I m m m'
_space_group_IT_number 71
_space_group_name_Hall '-I 2 2'
loop_
_atom_site_label
_atom_site_fract_x
_atom_site_fract_y
_atom_site_fract_z
_atom_site_occupancy
Ho1 0.0000 0.0000 0.0000 1
Ho2 0.0000 0.5000 0.3230 1
Tm1 0.0000 0.1589 0.2803 1
Tm2 0.0000 0.3409 0.1025 1
Sc1 0.0000 0.0000 0.5000 1
Sc2 0.0000 0.2921 0.5000 1
```

Most intense lines, 10° ≤ 2θ ≤ 90°, most intense first:
2θ (°)  I/Imax  h k l
33.05  100  1 3 2
32.86  61  2 0 0
34.85  55  1 0 5
30.71  53  1 1 4
26.51  40  0 3 1
31.77  32  0 3 3
42.70  23  2 3 1
46.36  23  2 3 3
58.79  19  3 3 2
63.77  19  2 6 0
39.53  18  1 3 4
12.12  17  0 0 2